No. 1
Diffraction record for Pr6Nd2Ag. The X-ray diffraction stick pattern is theoretical, not measured: it uses a structure optimized by DFT (PBE) and copper Kα.
Lines closer than 0.1° are merged.

Largest 10 diffraction maxima, by intensity, 10° ≤ 2θ ≤ 90°:
| two_theta | I (rel.) | h k l |
| --- | --- | --- |
| 30.24 | 100 | 3 0 1 |
| 31.45 | 59 | 1 3 1 |
| 32.15 | 38 | 0 0 2 |
| 30.82 | 27 | 2 3 0 |
| 45.13 | 19 | 2 3 2 |
| 49.35 | 19 | 3 3 2 |
| 36.44 | 17 | 3 3 0 |
| 56.88 | 11 | 1 3 3 |
| 56.10 | 10 | 0 3 3 |
| 56.15 | 9 | 3 0 3 |

Atomic structure:
Unit cell a=10.4453 b=10.4769 c=5.5687 alpha=90.00 beta=90.00 gamma=90.00
Space group Pnnm (No. 58)
Inequivalent atoms, fractional coordinates:
Pr 0.0377 0.1862 0.0000 [4 per cell]
Pr 0.1247 0.6201 0.5000 [4 per cell]
Pr 0.1859 0.9552 0.5000 [4 per cell]
Nd 0.2142 0.2787 0.5000 [4 per cell]
Ag 0.0000 0.5000 0.0000 [2 per cell]

***

No. 2
Diffraction record for Nd3Zn2Ni9. The X-ray diffraction stick pattern is theoretical, not measured: it uses a structure optimized by DFT (PBE) and copper Kα.
Lines closer than 0.1° are merged.

Largest 10 diffraction maxima, by intensity, 10° ≤ 2θ ≤ 90°:
| two_theta | I (rel.) | h k l |
| --- | --- | --- |
| 37.03 | 100 | 1 3 0 |
| 44.89 | 38 | 2 0 0 |
| 43.19 | 33 | 1 0 5 |
| 36.90 | 32 | 0 3 3 |
| 47.77 | 30 | 0 3 5 |
| 31.15 | 27 | 1 0 3 |
| 39.97 | 25 | 1 3 2 |
| 39.59 | 24 | 0 4 0 |
| 24.11 | 18 | 1 1 0 |
| 70.14 | 16 | 1 6 3 |

Atomic structure:
Unit cell a=4.0382 b=9.1055 c=12.2491 alpha=90.00 beta=90.00 gamma=90.00
Space group Immm (No. 71)
Inequivalent atoms, fractional coordinates:
Nd 0.0000 0.0000 0.0000 [2 per cell]
Nd 0.0000 0.0000 0.3044 [4 per cell]
Zn 0.0000 0.2156 0.5000 [4 per cell]
Ni 0.0000 0.2744 0.1096 [8 per cell]
Ni 0.0000 0.3168 0.3056 [8 per cell]
Ni 0.0000 0.5000 0.0000 [2 per cell]

***

No. 3
Diffraction record for Mg2BeReN4. The X-ray diffraction stick pattern is theoretical, not measured: it uses a structure optimized by DFT (PBE) and copper Kα.
Lines closer than 0.1° are merged.

Largest 10 diffraction maxima, by intensity, 10° ≤ 2θ ≤ 90°:
| two_theta | I (rel.) | h k l |
| --- | --- | --- |
| 22.18 | 100 | 1 0 1 |
| 20.96 | 80 | 1 1 0 |
| 36.71 | 55 | 2 1 1 |
| 23.37 | 45 | 0 1 1 |
| 27.27 | 36 | 1 1 1 |
| 36.23 | 34 | 0 2 1 |
| 34.90 | 33 | 0 0 2 |
| 32.15 | 32 | 2 1 0 |
| 41.06 | 31 | 1 1 2 |
| 34.66 | 29 | 1 2 0 |

Atomic structure:
Unit cell a=6.3954 b=5.6600 c=5.1423 alpha=90.00 beta=90.00 gamma=90.00
Space group Pmn2_1 (No. 31)
Inequivalent atoms, fractional coordinates:
Mg 0.2477 0.1682 0.0000 [4 per cell]
Be 0.0000 0.3473 0.5075 [2 per cell]
Re 0.0000 0.6586 0.0055 [2 per cell]
N 0.0000 0.3620 0.8473 [2 per cell]
N 0.0000 0.6348 0.3678 [2 per cell]
N 0.2417 0.1955 0.4148 [4 per cell]

***

No. 4
Diffraction record for Er3Pd7. The X-ray diffraction stick pattern is theoretical, not measured: it uses a structure optimized by DFT (PBE) and copper Kα.
Lines closer than 0.1° are merged.

Largest 10 diffraction maxima, by intensity, 10° ≤ 2θ ≤ 90°:
| two_theta | I (rel.) | h k l |
| --- | --- | --- |
| 37.21 | 100 | 5 1 0 |
| 37.72 | 91 | 1 1 -2 |
| 43.07 | 34 | 0 2 0 |
| 45.17 | 29 | 4 0 2 |
| 42.33 | 29 | 6 0 -2 |
| 64.18 | 20 | 4 2 2 |
| 61.98 | 19 | 6 2 -2 |
| 75.08 | 13 | 5 3 0 |
| 75.41 | 12 | 1 3 -2 |
| 77.76 | 11 | 9 1 2 |

Atomic structure:
Unit cell a=15.2557 b=4.2003 c=5.8044 alpha=90.00 beta=104.48 gamma=90.00
Space group C2/m (No. 12)
Inequivalent atoms, fractional coordinates:
Er 0.0000 0.0000 0.0000 [2 per cell]
Er 0.1880 0.0000 0.6321 [4 per cell]
Pd 0.0000 0.0000 0.5000 [2 per cell]
Pd 0.0980 0.5000 0.8149 [4 per cell]
Pd 0.1013 0.5000 0.3174 [4 per cell]
Pd 0.2000 0.0000 0.1252 [4 per cell]